[1]
Calculated XRD peak list
Compound: Tb3GaNi
Radiation: Cu Kα (λ = 1.5418 Å)
Structure: a crystal structure in Alexandria, relaxed with PBE
Intensities are scaled so that the largest is 100.

Structural model:
Cell: 7.037 4.968 7.241 Å, 90.00 94.30 90.00°
Element x y z (fractional)
1 Tb 0.000 0.000 0.000
2 Tb 0.079 0.500 0.347
3 Tb 0.320 0.000 0.658
4 Tb 0.428 0.000 0.200
5 Tb 0.637 0.500 0.952
6 Tb 0.801 0.000 0.547
7 Ga 0.046 0.500 0.754
8 Ga 0.533 0.500 0.430
9 Ni 0.255 0.500 0.038
10 Ni 0.637 0.000 0.881

Most intense lines, 5° ≤ 2θ ≤ 70°, low angle first:
- 2θ = 24.70°, I = 28
- 2θ = 30.61°, I = 49
- 2θ = 31.21°, I = 68
- 2θ = 32.48°, I = 73
- 2θ = 32.91°, I = 35
- 2θ = 33.96°, I = 38
- 2θ = 34.33°, I = 100
- 2θ = 36.16°, I = 85

***

[2]
Calculated XRD peak list
Compound: SrP2Pt6
Radiation: Cu Kα (λ = 1.5418 Å)
Structure: a crystal structure in Alexandria, relaxed with PBE
Intensities are scaled so that the largest is 100.

Structural model:
Cell: 8.581 8.581 8.581 Å, 90.00 90.00 90.00°
Element x y z (fractional)
1 Sr 0.000 0.000 0.000
2 Sr 0.000 0.500 0.500
3 Sr 0.500 0.000 0.500
4 Sr 0.500 0.500 0.000
5 P 0.194 0.694 0.806
6 P 0.194 0.806 0.306
7 P 0.306 0.194 0.806
8 P 0.306 0.306 0.306
9 P 0.694 0.694 0.694
10 P 0.694 0.806 0.194
11 P 0.806 0.194 0.694
12 P 0.806 0.306 0.194
13 Pt 0.078 0.157 0.657
14 Pt 0.078 0.343 0.157
15 Pt 0.157 0.078 0.343
16 Pt 0.157 0.422 0.843
17 Pt 0.157 0.657 0.078
18 Pt 0.157 0.843 0.578
19 Pt 0.343 0.157 0.078
20 Pt 0.343 0.343 0.578
21 Pt 0.343 0.578 0.343
22 Pt 0.343 0.922 0.843
23 Pt 0.422 0.657 0.657
24 Pt 0.422 0.843 0.157
25 Pt 0.578 0.157 0.843
26 Pt 0.578 0.343 0.343
27 Pt 0.657 0.078 0.157
28 Pt 0.657 0.422 0.657
29 Pt 0.657 0.657 0.422
30 Pt 0.657 0.843 0.922
31 Pt 0.843 0.157 0.422
32 Pt 0.843 0.343 0.922
33 Pt 0.843 0.578 0.157
34 Pt 0.843 0.922 0.657
35 Pt 0.922 0.657 0.843
36 Pt 0.922 0.843 0.343

Most intense lines, 5° ≤ 2θ ≤ 70°, low angle first:
- 2θ = 17.90°, I = 41
- 2θ = 31.27°, I = 60
- 2θ = 34.67°, I = 100
- 2θ = 37.80°, I = 26
- 2θ = 39.29°, I = 74
- 2θ = 42.12°, I = 24
- 2θ = 43.49°, I = 39
- 2θ = 49.85°, I = 32

***

[3]
Calculated XRD peak list
Compound: RbCr2Ge2
Radiation: Cu Kα (λ = 1.5418 Å)
Structure: a crystal structure in Alexandria, relaxed with PBE
Intensities are scaled so that the largest is 100.

Structural model:
Cell: 9.559 9.559 9.559 Å, 159.92 159.92 28.55°
Element x y z (fractional)
1 Rb 0.000 0.000 0.000
2 Cr 0.250 0.750 0.500
3 Cr 0.750 0.250 0.500
4 Ge 0.357 0.357 0.000
5 Ge 0.643 0.643 0.000

Most intense lines, 5° ≤ 2θ ≤ 70°, low angle first:
- 2θ = 9.55°, I = 27
- 2θ = 30.47°, I = 100
- 2θ = 38.89°, I = 21
- 2θ = 39.45°, I = 25
- 2θ = 43.06°, I = 18
- 2θ = 48.59°, I = 44
- 2θ = 55.10°, I = 21
- 2θ = 64.28°, I = 23

***

[4]
Calculated XRD peak list
Compound: LiSmYLu
Radiation: Cu Kα (λ = 1.5418 Å)
Structure: a crystal structure in Alexandria, relaxed with PBE
Intensities are scaled so that the largest is 100.

Structural model:
Cell: 5.476 5.476 5.476 Å, 60.00 60.00 60.00°
Element x y z (fractional)
1 Li 0.000 0.000 0.000
2 Sm 0.750 0.750 0.750
3 Y 0.250 0.250 0.250
4 Lu 0.500 0.500 0.500

Most intense lines, 5° ≤ 2θ ≤ 70°, low angle first:
- 2θ = 19.86°, I = 41
- 2θ = 32.70°, I = 100
- 2θ = 38.55°, I = 23
- 2θ = 46.93°, I = 18
- 2θ = 51.43°, I = 10
- 2θ = 58.37°, I = 38
- 2θ = 62.29°, I = 8
- 2θ = 68.54°, I = 12